The following is a computed powder X-ray diffraction pattern of Y4MgCu8. It was derived from DFT lattice parameters and positions (PBE), using λ = 1.5418 Å (Cu Kα).
Lines closer than 0.1° are merged.

Structural model:
Cell lengths 8.066, 8.066, 8.045 Å; angles 90.00, 90.00, 90.00 degrees
Space group I4/mmm (No. 139)
Symmetry-distinct sites (fractional):
Y 0.250 0.250 0.250 [8 per cell]
Mg 0.000 0.000 0.000 [2 per cell]
Cu 0.000 0.214 0.500 [8 per cell]
Cu 0.000 0.353 0.000 [8 per cell]

The 10 most intense peaks (2θ = 10–90°), in order of rising 2θ:
| 2theta | intensity | index |
| --- | --- | --- |
| 15.55 | 23 | 1 0 1 |
| 22.06 | 36 | 2 0 0 |
| 31.41 | 100 | 2 0 2 |
| 38.70 | 97 | 2 2 2 |
| 41.91 | 38 | 3 2 1 |
| 44.95 | 29 | 4 0 0 |
| 45.08 | 31 | 0 0 4 |
| 47.86 | 27 | 4 1 1 |
| 50.61 | 29 | 4 2 0 |
| 70.06 | 26 | 4 2 4 |